This entry pairs a crystal structure of Li3Fe4P6O24 with its simulated powder X-ray diffraction pattern. Radiation: a wavelength of 1.5418 Å. Structure: a cell relaxed with PBE+U.
Lines closer than 0.1° are merged.

Peak list (8 most intense, 5° ≤ 2θ ≤ 70°, low angle first)
- (0 1 1), 14.27 deg, rel. 434
- (0 1 -1), 20.13 deg, rel. 1000
- (2 1 1), 20.52 deg, rel. 364
- (1 -1 1), 23.81 deg, rel. 892
- (1 2 0), 23.95 deg, rel. 908
- (2 2 0), 28.98 deg, rel. 316
- (-1 1 2), 32.08 deg, rel. 362
- (1 2 -1), 32.19 deg, rel. 311

Cell and atoms:
```
37
Lattice="8.6403 0.0000 0.0000 4.2748 7.5558 0.0000 4.3129 2.5327 7.2631" Properties=species:S:1:pos:R:3 pbc="T T T"
Li 0.0000 0.0000 0.0000
Li 6.5942 5.5268 5.7242
Li 10.1508 5.1538 3.5979
Fe 5.1358 3.5791 3.7486
Fe 9.4818 6.2726 6.3959
Fe 9.4045 6.1872 0.1025
Fe 9.4424 1.2291 2.7530
P 7.5878 8.7084 5.1110
P 6.3135 5.8541 1.3559
P 8.2673 3.3481 4.9868
P 6.3309 1.4975 1.4613
P 12.5764 6.5736 5.0884
P 11.2216 3.6466 1.4361
O 6.6826 8.6721 3.8834
O 3.4535 3.7434 2.7106
O 4.2579 2.3883 5.1404
O 5.5892 7.2049 1.5786
O 3.3615 3.5547 0.1003
O 8.3434 7.3530 5.1055
O 6.0858 4.8587 2.4979
O 5.7273 5.3863 0.0035
O 6.7457 3.6444 4.9850
O 5.8601 2.0100 2.8264
O 7.8570 6.0620 1.3469
O 8.9758 4.7084 5.2112
O 6.0833 2.5315 0.3523
O 8.4333 2.3345 6.1346
O 9.8326 7.7167 1.2589
O 11.0651 6.2304 5.1008
O 8.8157 2.8868 3.6253
O 13.1432 7.0682 6.4442
O 7.8448 1.1883 1.4105
O 12.7009 7.6113 3.9574
O 10.3597 4.9509 1.5283
O 15.4601 8.9064 6.4708
O 10.3522 2.3681 1.3997
O 13.4159 5.2978 4.8200
```